1.
InPH4O6: simulated powder X-ray diffraction pattern (Cu Kα (λ = 1.5418 Å)), based on a crystal structure in Alexandria, relaxed with GGA-PBE.
Kinematic intensities with the Lorentz-polarization factor, no thermal factor.

```
InPH4O6
1.0
5.4380 0.0000 0.0000
0.0000 10.5380 0.0000
-4.9492 0.0000 8.9061
In P H O
4 4 16 24
Cartesian
-0.3863 1.7969 1.8922
-2.8609 3.4721 6.3453
3.3497 7.0660 2.5608
0.8751 8.7411 7.0139
-1.8716 6.7747 6.0100
0.6030 9.0324 1.5569
-0.1142 1.5056 7.3492
2.3604 3.7634 2.8961
-3.2330 0.4374 6.6348
-0.7584 4.8316 2.1817
0.5176 5.7301 2.5761
-1.9570 10.0770 7.0292
-0.5593 1.6649 4.7254
1.9153 3.6041 0.2723
2.0529 7.2738 0.2430
-0.4217 8.5332 4.6961
0.9106 2.0048 4.2101
-1.5640 3.2642 8.6632
-1.4265 6.9339 8.6339
1.0481 8.8731 4.1808
2.4458 0.4611 1.8770
-0.0288 4.8079 6.3300
1.2472 5.7064 6.7245
3.7218 10.1007 2.2714
-3.3159 7.0198 6.5317
-0.8413 8.7872 2.0786
-0.3841 5.7687 2.1478
-2.8587 10.0384 6.6009
-1.6639 7.4595 4.6264
0.8107 8.3476 0.1733
0.8382 0.0292 1.4459
-1.6364 5.2398 5.8990
0.0870 1.4726 3.9931
-2.3876 3.7964 8.4461
-1.1295 2.1276 6.3432
1.3451 3.1415 1.8901
-0.8562 7.3966 7.0160
1.6184 8.4105 2.5629
2.8765 6.7416 0.4600
0.4019 9.0654 4.9131
2.1252 5.2982 3.0071
-0.3494 10.5089 7.4602
-0.3219 2.1905 8.7328
2.1527 3.0786 4.2797
3.3475 0.4997 2.3052
0.8729 4.7693 6.7583
1.3301 1.7508 6.8275
3.8047 3.5182 2.3745
```

The 10 most intense peaks (2θ from 10° to 90°), in order of falling intensity:
- 2θ 19.9, 4.453 Å, rel. 100
- 2θ 30.3, 2.949 Å, rel. 70
- 2θ 18.4, 4.827 Å, rel. 64
- 2θ 21.4, 4.160 Å, rel. 53
- 2θ 16.8, 5.269 Å, rel. 41
- 2θ 23.5, 3.781 Å, rel. 38
- 2θ 34.1, 2.630 Å, rel. 34
- 2θ 33.6, 2.667 Å, rel. 33
- 2θ 18.7, 4.753 Å, rel. 28
- 2θ 19.6, 4.535 Å, rel. 28



2.
Na5Mg2Hg5: simulated powder X-ray diffraction pattern (Cu Kα (λ = 1.5418 Å)), based on a crystal structure in Alexandria, relaxed with GGA-PBE.
Kinematic intensities with the Lorentz-polarization factor, no thermal factor.

```
Na5Mg2Hg5
1.0
4.4589 -2.5899 0.0000
4.4589 2.5899 0.0000
-2.8851 0.0000 13.4490
Na Mg Hg
5 2 5
Cartesian
0.0000 0.0000 0.0000
0.0367 0.0000 7.7489
0.0440 0.0000 11.2044
5.9887 0.0000 2.2446
5.9960 0.0000 5.7002
3.0273 0.0000 3.9025
3.0055 0.0000 9.5465
0.0428 0.0000 3.8556
3.0018 0.0000 1.0049
3.0164 0.0000 6.7245
3.0310 0.0000 12.4442
5.9900 0.0000 9.5934
```

The 10 most intense peaks (2θ from 10° to 90°), in order of falling intensity:
- 2θ 34.8, 2.578 Å, rel. 100
- 2θ 25.1, 3.542 Å, rel. 79
- 2θ 31.5, 2.836 Å, rel. 60
- 2θ 22.7, 3.912 Å, rel. 57
- 2θ 34.6, 2.590 Å, rel. 51
- 2θ 25.3, 3.516 Å, rel. 40
- 2θ 48.8, 1.866 Å, rel. 38
- 2θ 21.7, 4.099 Å, rel. 38
- 2θ 43.4, 2.085 Å, rel. 29
- 2θ 33.3, 2.690 Å, rel. 27



3.
Ba2NpAgO6: simulated powder X-ray diffraction pattern (Cu Kα (λ = 1.5418 Å)), based on a crystal structure in Alexandria, relaxed with GGA-PBE.
Kinematic intensities with the Lorentz-polarization factor, no thermal factor.

```
Ba2NpAgO6
1.0
5.3935 -3.0511 0.0000
5.3935 3.0511 0.0000
-3.6183 0.0000 5.1509
Ba Np Ag O
2 1 1 6
Cartesian
1.7441 0.0000 1.3281
5.4245 0.0000 3.8228
-1.8092 0.0000 2.5755
5.3935 0.0000 0.0000
2.4299 1.6317 3.4756
-0.5362 0.0000 4.1505
4.7386 1.6317 1.6753
2.4299 -1.6317 3.4756
7.7048 0.0000 1.0004
4.7386 -1.6317 1.6753
```

The 10 most intense peaks (2θ from 10° to 90°), in order of falling intensity:
- 2θ 28.6, 3.121 Å, rel. 100
- 2θ 28.8, 3.098 Å, rel. 99
- 2θ 41.2, 2.191 Å, rel. 52
- 2θ 28.4, 3.147 Å, rel. 47
- 2θ 29.3, 3.051 Å, rel. 47
- 2θ 50.2, 1.816 Å, rel. 34
- 2θ 40.9, 2.207 Å, rel. 24
- 2θ 50.6, 1.803 Å, rel. 23
- 2θ 51.1, 1.788 Å, rel. 22
- 2θ 51.6, 1.770 Å, rel. 21



4.
Hf3TiN3: simulated powder X-ray diffraction pattern (Cu Kα (λ = 1.5418 Å)), based on a crystal structure in Alexandria, relaxed with GGA-PBE.
Kinematic intensities with the Lorentz-polarization factor, no thermal factor.

```
Hf3TiN3
1.0
7.1011 0.0000 0.0000
-3.5505 6.1497 0.0000
0.0000 0.0000 4.5859
Hf Ti N
6 2 6
Cartesian
0.0000 2.2029 1.1465
-1.6428 5.0483 1.1465
1.9078 1.1015 3.4394
1.6428 5.0483 1.1465
5.1933 1.1015 3.4394
3.5505 3.9468 3.4394
0.0000 4.0998 3.4394
3.5505 2.0499 1.1465
0.0000 2.0191 3.4394
-1.8019 5.1401 3.4394
1.7486 1.0096 1.1465
1.8019 5.1401 3.4394
5.3525 1.0096 1.1465
3.5505 4.1306 1.1465
```

The 10 most intense peaks (2θ from 10° to 90°), in order of falling intensity:
- 2θ 35.1, 2.554 Å, rel. 100
- 2θ 29.0, 3.075 Å, rel. 37
- 2θ 51.5, 1.775 Å, rel. 27
- 2θ 66.6, 1.404 Å, rel. 24
- 2θ 39.3, 2.293 Å, rel. 23
- 2θ 24.2, 3.676 Å, rel. 20
- 2θ 49.6, 1.838 Å, rel. 17
- 2θ 63.9, 1.458 Å, rel. 16
- 2θ 68.6, 1.369 Å, rel. 15
- 2θ 86.4, 1.127 Å, rel. 12



5.
Cs4PmPa3O12: simulated powder X-ray diffraction pattern (Cu Kα (λ = 1.5418 Å)), based on a crystal structure in Alexandria, relaxed with GGA-PBE.
Kinematic intensities with the Lorentz-polarization factor, no thermal factor.

```
Cs4PmPa3O12
1.0
-4.5046 4.5046 4.5046
4.5046 -4.5046 4.5046
4.5046 4.5046 -4.5046
Cs Pm Pa O
4 1 3 12
Cartesian
2.2523 2.2523 -2.2523
2.2523 -2.2523 2.2523
-2.2523 2.2523 2.2523
2.2523 2.2523 2.2523
0.0000 0.0000 0.0000
4.5046 0.0000 0.0000
0.0000 4.5046 0.0000
0.0000 0.0000 4.5046
2.4063 0.0000 0.0000
6.6030 0.0000 0.0000
4.5046 2.2523 0.0000
4.5046 0.0000 2.2523
0.0000 2.4063 0.0000
0.0000 0.0000 2.4063
2.2523 4.5046 0.0000
2.2523 0.0000 4.5046
0.0000 6.6030 0.0000
0.0000 0.0000 6.6030
0.0000 4.5046 2.2523
0.0000 2.2523 4.5046
```

The 10 most intense peaks (2θ from 10° to 90°), in order of falling intensity:
- 2θ 28.0, 3.185 Å, rel. 100
- 2θ 49.6, 1.839 Å, rel. 43
- 2θ 40.0, 2.252 Å, rel. 28
- 2θ 79.6, 1.204 Å, rel. 22
- 2θ 65.5, 1.424 Å, rel. 19
- 2θ 57.9, 1.593 Å, rel. 18
- 2θ 19.7, 4.505 Å, rel. 10
- 2θ 72.7, 1.300 Å, rel. 6
- 2θ 45.0, 2.015 Å, rel. 5
- 2θ 86.4, 1.126 Å, rel. 3



6.
Rb2TiAgBr6: simulated powder X-ray diffraction pattern (Cu Kα (λ = 1.5418 Å)), based on a crystal structure in Alexandria, relaxed with GGA-PBE.
Kinematic intensities with the Lorentz-polarization factor, no thermal factor.

```
Rb2TiAgBr6
1.0
3.8342 2.2137 13.0971
-3.8342 2.2137 13.0971
0.0000 -4.4273 13.0971
Rb Ti Ag Br
4 2 2 12
Cartesian
0.0000 0.0000 4.8947
0.0000 0.0000 11.6752
0.0000 0.0000 27.6161
0.0000 0.0000 34.3965
0.0000 0.0000 0.0000
0.0000 0.0000 19.6456
0.0000 0.0000 16.3016
0.0000 0.0000 22.9896
-1.8702 -1.0798 18.1641
0.0000 -2.3095 14.6140
-2.0001 1.1548 14.6140
-2.0001 -1.1548 24.6772
0.0000 -2.1596 21.1272
-1.8702 1.0798 21.1272
1.8702 -1.0798 18.1641
0.0000 2.1596 18.1641
2.0001 1.1548 14.6141
2.0001 -1.1547 24.6772
0.0000 2.3095 24.6772
1.8702 1.0798 21.1272
```

The 10 most intense peaks (2θ from 10° to 90°), in order of falling intensity:
- 2θ 31.3, 2.858 Å, rel. 100
- 2θ 29.2, 3.059 Å, rel. 54
- 2θ 47.4, 1.917 Å, rel. 47
- 2θ 27.2, 3.274 Å, rel. 38
- 2θ 14.1, 6.291 Å, rel. 24
- 2θ 48.0, 1.897 Å, rel. 24
- 2θ 35.4, 2.536 Å, rel. 23
- 2θ 55.5, 1.654 Å, rel. 22
- 2θ 37.0, 2.432 Å, rel. 21
- 2θ 76.5, 1.245 Å, rel. 19



7.
Cs2Np3HgS8: simulated powder X-ray diffraction pattern (Cu Kα (λ = 1.5418 Å)), based on a crystal structure in Alexandria, relaxed with GGA-PBE.
Kinematic intensities with the Lorentz-polarization factor, no thermal factor.

```
Cs2Np3HgS8
1.0
4.0168 2.3191 8.5505
-4.0168 2.3191 8.5505
0.0000 -4.6382 8.5505
Cs Np Hg S
2 3 1 8
Cartesian
0.0000 0.0000 0.0000
0.0000 0.0000 9.2244
0.0000 -2.3095 13.4722
-2.0001 1.1548 13.4722
2.0001 1.1548 13.4722
0.0000 0.0000 18.5046
0.0000 -2.0871 6.3047
-1.8075 1.0436 6.3047
0.0000 0.0000 3.5207
-1.8263 -1.0544 12.1091
1.8075 1.0436 6.3047
0.0000 0.0000 14.8591
1.8263 -1.0544 12.1091
0.0000 2.1089 12.1091
```

The 10 most intense peaks (2θ from 10° to 90°), in order of falling intensity:
- 2θ 24.5, 3.636 Å, rel. 100
- 2θ 35.6, 2.523 Å, rel. 59
- 2θ 25.8, 3.447 Å, rel. 55
- 2θ 10.3, 8.550 Å, rel. 51
- 2θ 38.2, 2.358 Å, rel. 46
- 2θ 45.1, 2.008 Å, rel. 46
- 2θ 20.8, 4.275 Å, rel. 44
- 2θ 18.8, 4.715 Å, rel. 41
- 2θ 29.2, 3.058 Å, rel. 38
- 2θ 21.5, 4.129 Å, rel. 34



8.
Tl2GePbS4: simulated powder X-ray diffraction pattern (Cu Kα (λ = 1.5418 Å)), based on a crystal structure in Alexandria, relaxed with GGA-PBE.
Kinematic intensities with the Lorentz-polarization factor, no thermal factor.

```
Tl2GePbS4
1.0
10.7073 0.0000 0.0000
0.0000 9.3060 0.0000
-0.6337 0.0000 9.2177
Tl Ge Pb S
8 4 4 16
Cartesian
0.6043 1.7780 0.7658
0.2874 2.8750 5.3746
1.8816 5.6648 8.5282
2.1985 8.2942 3.9194
7.8751 1.0118 5.2983
8.1920 3.6412 0.6895
9.7862 6.4310 3.8430
9.4694 7.5280 8.4519
2.3122 0.3058 7.3530
2.6291 4.3472 2.7441
7.4445 4.9588 6.4735
7.7614 9.0002 1.8647
4.7071 1.7422 1.0271
4.3903 2.9108 5.6359
5.6833 6.3952 3.5818
5.3665 7.5638 8.1906
0.7789 4.9036 1.6713
0.4620 9.0553 6.2801
2.6882 2.0913 2.9947
2.3713 2.5617 7.6035
2.8433 5.1975 4.8001
3.1602 8.7614 0.1913
4.4326 4.8802 1.5189
4.1157 9.0788 6.1278
5.9579 0.2272 3.0899
5.6410 4.4258 7.6987
6.9134 0.5445 9.0264
7.2303 4.1085 4.4175
7.7023 6.7443 1.6142
7.3854 7.2147 6.2230
9.6116 0.2506 2.9376
9.2947 4.4024 7.5464
```

The 10 most intense peaks (2θ from 10° to 90°), in order of falling intensity:
- 2θ 21.5, 4.130 Å, rel. 100
- 2θ 26.8, 3.326 Å, rel. 66
- 2θ 30.7, 2.916 Å, rel. 43
- 2θ 32.8, 2.729 Å, rel. 41
- 2θ 22.7, 3.912 Å, rel. 39
- 2θ 25.4, 3.508 Å, rel. 32
- 2θ 27.6, 3.231 Å, rel. 31
- 2θ 28.1, 3.174 Å, rel. 26
- 2θ 35.2, 2.552 Å, rel. 24
- 2θ 39.9, 2.261 Å, rel. 24